This entry pairs a crystal structure of AcAgWO6 with its computed XRD peak list. Radiation: λ = 1.5418 Å (Cu Kα). Structure: a PBE+U-relaxed structure.

Structural model:
```
data_AcAgWO6
_symmetry_space_group_name_H-M 'P 42 n m'
_symmetry_Int_Tables_number 102
_symmetry_space_group_name_Hall 'P 4n -2n'
_cell_length_a 5.240
_cell_length_b 5.240
_cell_length_c 10.118
_cell_angle_alpha 90.00
_cell_angle_beta 90.00
_cell_angle_gamma 90.00
loop_
_atom_site_label
_atom_site_type_symbol
_atom_site_fract_x
_atom_site_fract_y
_atom_site_fract_z
Ac1 Ac 0.000 0.000 0.000
Ag1 Ag 0.000 0.000 0.330
W1 W 0.000 0.000 0.663
O1 O 0.165 0.165 0.500
O2 O 0.184 0.184 0.787
O3 O 0.230 0.230 0.168
```

Main lines, low angle first (5 to 70 degrees two-theta):
Position (°2θ)	intensity	h k l
24.02	100	1 1 0
31.55	84	1 0 3
34.23	28	2 0 0
47.23	66	2 1 3
49.18	17	2 2 0
55.46	17	3 1 0
59.61	19	3 0 3
60.30	15	1 1 6